The following is a calculated powder diffractogram of NaNiAsO4. It was derived from the GGA+U geometry in Alexandria, using Cu Kα (weighted mean of Kα1 and Kα2).

Main lines, in order of falling intensity (2θ = 10–90°):
2theta, I/Imax
35.75, 100
31.19, 87
20.69, 52
33.86, 40
64.14, 40
64.24, 32
48.17, 27
26.43, 27
61.41, 25
37.20, 22

Atomic structure:
a = 9.3589 Å, b = 9.3589 Å, c = 9.3589 Å
α = 31.13°, β = 31.13°, γ = 31.13°
Fractional coordinates of all 14 atoms:
Na 0.2128 0.2128 0.2128
Na 0.7872 0.7872 0.7872
Ni 0.3359 0.3359 0.3359
Ni 0.6641 0.6641 0.6641
As 0.0662 0.0662 0.0662
As 0.9338 0.9338 0.9338
O 0.0354 0.3807 0.7208
O 0.1292 0.1292 0.1292
O 0.2792 0.9646 0.6193
O 0.3807 0.7208 0.0354
O 0.6193 0.2792 0.9646
O 0.7208 0.0354 0.3807
O 0.8708 0.8708 0.8708
O 0.9646 0.6193 0.2792